(1)
Simulated powder diffractogram
Compound: Ba2AcRh
Radiation: λ = 1.5418 Å (Cu Kα)
Structure: DFT lattice parameters and positions (PBE)
No peak broadening, texture or thermal motion is included.

Peak list (12 most intense, 2θ from 10° to 80°, low angle first)
2θ = 24.85°, I = 100; 2θ = 27.49°, I = 44; 2θ = 29.39°, I = 85; 2θ = 29.76°, I = 17; 2θ = 40.68°, I = 62; 2θ = 42.05°, I = 32; 2θ = 44.14°, I = 13; 2θ = 49.46°, I = 32; 2θ = 50.98°, I = 32; 2θ = 68.15°, I = 14; 2θ = 69.12°, I = 15; 2θ = 75.91°, I = 20

Structure:
```
Ba2AcRh
1.0
4.298 0.000 0.000
0.000 4.298 0.000
-0.011 0.000 19.466
Ba Ac Rh
4 2 2
Direct
0.248 0.000 0.264
0.251 0.999 0.913
0.749 0.499 0.087
0.752 0.500 0.736
0.250 0.001 0.573
0.750 0.501 0.427
0.250 0.001 0.416
0.750 0.501 0.584
```

---

(2)
Simulated powder diffractogram
Compound: PmPrHo2Se6
Radiation: λ = 1.5418 Å (Cu Kα)
Structure: DFT lattice parameters and positions (PBE)
No peak broadening, texture or thermal motion is included.

Peak list (12 most intense, 2θ from 10° to 80°, low angle first)
2θ = 16.65°, I = 45; 2θ = 22.98°, I = 63; 2θ = 24.26°, I = 43; 2θ = 27.92°, I = 63; 2θ = 33.66°, I = 47; 2θ = 36.93°, I = 100; 2θ = 41.92°, I = 40; 2θ = 42.68°, I = 67; 2θ = 48.81°, I = 33; 2θ = 57.69°, I = 25; 2θ = 72.23°, I = 15; 2θ = 74.35°, I = 25

Structure:
```
PmPrHo2Se6
1.0
3.669 2.118 6.505
-3.669 2.118 6.505
0.000 -4.237 6.505
Pm Pr Ho Se
1 1 2 6
Direct
0.000 0.000 0.000
0.498 0.498 0.498
0.200 0.200 0.200
0.699 0.699 0.699
0.079 0.416 0.818
0.311 0.916 0.587
0.416 0.818 0.079
0.587 0.311 0.916
0.818 0.079 0.416
0.916 0.587 0.311
```

---

(3)
Simulated powder diffractogram
Compound: PmAl3Rh2
Radiation: λ = 1.5418 Å (Cu Kα)
Structure: DFT lattice parameters and positions (PBE)
No peak broadening, texture or thermal motion is included.

Peak list (12 most intense, 2θ from 10° to 80°, low angle first)
2θ = 21.39°, I = 55; 2θ = 22.32°, I = 40; 2θ = 29.06°, I = 48; 2θ = 29.94°, I = 58; 2θ = 33.21°, I = 68; 2θ = 33.99°, I = 60; 2θ = 35.04°, I = 78; 2θ = 36.92°, I = 100; 2θ = 39.15°, I = 58; 2θ = 43.57°, I = 52; 2θ = 49.51°, I = 43; 2θ = 59.14°, I = 64

Structure:
```
PmAl3Rh2
1.0
4.829 -3.983 0.000
4.829 3.983 0.000
0.000 0.000 5.638
Pm Al Rh
2 6 4
Direct
0.143 0.857 0.750
0.857 0.143 0.250
0.041 0.597 0.250
0.403 0.959 0.250
0.467 0.533 0.250
0.533 0.467 0.750
0.597 0.041 0.750
0.959 0.403 0.750
0.286 0.286 0.000
0.286 0.286 0.500
0.714 0.714 0.000
0.714 0.714 0.500
```

---

(4)
Simulated powder diffractogram
Compound: TbMgH6Ir2
Radiation: λ = 1.5418 Å (Cu Kα)
Structure: DFT lattice parameters and positions (PBE)
No peak broadening, texture or thermal motion is included.

Peak list (12 most intense, 2θ from 10° to 80°, low angle first)
2θ = 23.16°, I = 63; 2θ = 25.23°, I = 22; 2θ = 32.26°, I = 79; 2θ = 36.74°, I = 95; 2θ = 39.38°, I = 100; 2θ = 51.79°, I = 21; 2θ = 54.95°, I = 30; 2θ = 64.36°, I = 19; 2θ = 66.95°, I = 20; 2θ = 68.00°, I = 23; 2θ = 69.68°, I = 30; 2θ = 71.41°, I = 18

Structure:
```
TbMgH6Ir2
1.0
2.288 1.321 5.183
-2.288 1.321 5.183
0.000 -2.642 5.183
Tb Mg H Ir
1 1 6 2
Direct
0.000 0.000 0.000
0.500 0.500 0.500
0.055 0.561 0.561
0.439 0.439 0.945
0.439 0.945 0.439
0.561 0.055 0.561
0.561 0.561 0.055
0.945 0.439 0.439
0.209 0.209 0.209
0.791 0.791 0.791
```

---

(5)
Simulated powder diffractogram
Compound: PuHgGe2O8
Radiation: λ = 1.5418 Å (Cu Kα)
Structure: DFT lattice parameters and positions (PBE)
No peak broadening, texture or thermal motion is included.

Peak list (12 most intense, 2θ from 10° to 80°, low angle first)
2θ = 18.10°, I = 100; 2θ = 22.52°, I = 26; 2θ = 31.63°, I = 71; 2θ = 32.50°, I = 84; 2θ = 41.90°, I = 26; 2θ = 45.98°, I = 42; 2θ = 49.20°, I = 16; 2θ = 56.33°, I = 14; 2θ = 56.88°, I = 36; 2θ = 58.53°, I = 14; 2θ = 75.56°, I = 16; 2θ = 77.00°, I = 13

Structure:
```
PuHgGe2O8
1.0
5.658 0.000 0.000
-2.829 4.900 0.000
0.000 0.000 6.662
Pu Hg Ge O
1 1 2 8
Direct
0.000 0.000 0.000
0.000 0.000 0.500
0.333 0.667 0.695
0.667 0.333 0.305
0.165 0.331 0.805
0.165 0.835 0.805
0.331 0.165 0.195
0.333 0.667 0.441
0.667 0.333 0.559
0.669 0.835 0.805
0.835 0.165 0.195
0.835 0.669 0.195
```

---

(6)
Simulated powder diffractogram
Compound: AcSm2Sn
Radiation: λ = 1.5418 Å (Cu Kα)
Structure: DFT lattice parameters and positions (PBE)
No peak broadening, texture or thermal motion is included.

Peak list (12 most intense, 2θ from 10° to 80°, low angle first)
2θ = 28.01°, I = 100; 2θ = 28.98°, I = 38; 2θ = 29.21°, I = 28; 2θ = 30.40°, I = 69; 2θ = 30.66°, I = 33; 2θ = 33.30°, I = 32; 2θ = 34.80°, I = 19; 2θ = 36.63°, I = 19; 2θ = 40.75°, I = 27; 2θ = 53.60°, I = 17; 2θ = 54.00°, I = 18; 2θ = 55.52°, I = 21

Structure:
```
AcSm2Sn
1.0
2.214 -6.435 0.000
2.214 6.435 0.000
0.000 0.000 9.812
Ac Sm Sn
2 4 2
Direct
0.057 0.943 0.750
0.943 0.057 0.250
0.358 0.642 0.545
0.358 0.642 0.955
0.642 0.358 0.045
0.642 0.358 0.455
0.235 0.765 0.250
0.765 0.235 0.750
```

---

(7)
Simulated powder diffractogram
Compound: Tm2ThNi
Radiation: λ = 1.5418 Å (Cu Kα)
Structure: DFT lattice parameters and positions (PBE)
No peak broadening, texture or thermal motion is included.

Peak list (12 most intense, 2θ from 10° to 80°, low angle first)
2θ = 26.75°, I = 26; 2θ = 31.26°, I = 98; 2θ = 31.33°, I = 100; 2θ = 32.17°, I = 57; 2θ = 32.68°, I = 78; 2θ = 34.04°, I = 42; 2θ = 35.27°, I = 51; 2θ = 42.24°, I = 20; 2θ = 49.22°, I = 32; 2θ = 53.93°, I = 24; 2θ = 57.69°, I = 33; 2θ = 57.81°, I = 22

Structure:
```
Tm2ThNi
1.0
6.825 0.000 0.000
0.000 9.609 0.000
0.000 0.000 6.296
Tm Th Ni
8 4 4
Direct
0.179 0.067 0.169
0.179 0.433 0.169
0.321 0.567 0.669
0.321 0.933 0.669
0.679 0.067 0.331
0.679 0.433 0.331
0.821 0.567 0.831
0.821 0.933 0.831
0.038 0.250 0.651
0.462 0.750 0.151
0.538 0.250 0.849
0.962 0.750 0.349
0.121 0.750 0.940
0.379 0.250 0.440
0.621 0.750 0.560
0.879 0.250 0.060
```

---

(8)
Simulated powder diffractogram
Compound: AcEr3In3
Radiation: λ = 1.5418 Å (Cu Kα)
Structure: DFT lattice parameters and positions (PBE)
No peak broadening, texture or thermal motion is included.

Peak list (12 most intense, 2θ from 10° to 80°, low angle first)
2θ = 27.41°, I = 14; 2θ = 28.47°, I = 26; 2θ = 32.38°, I = 7; 2θ = 33.29°, I = 100; 2θ = 34.18°, I = 25; 2θ = 45.06°, I = 15; 2θ = 47.80°, I = 8; 2θ = 50.42°, I = 16; 2θ = 51.06°, I = 7; 2θ = 60.63°, I = 21; 2θ = 61.77°, I = 7; 2θ = 62.33°, I = 17

Structure:
```
AcEr3In3
1.0
9.577 0.000 0.000
-4.788 8.294 0.000
0.000 0.000 5.247
Ac Er In
2 6 6
Direct
0.333 0.667 0.250
0.667 0.333 0.750
0.004 0.774 0.750
0.226 0.230 0.750
0.230 0.004 0.250
0.770 0.996 0.750
0.774 0.770 0.250
0.996 0.226 0.250
0.067 0.445 0.750
0.378 0.933 0.750
0.445 0.378 0.250
0.555 0.622 0.750
0.622 0.067 0.250
0.933 0.555 0.250
```

---

(9)
Simulated powder diffractogram
Compound: RePN2O
Radiation: λ = 1.5418 Å (Cu Kα)
Structure: DFT lattice parameters and positions (PBE)
No peak broadening, texture or thermal motion is included.

Peak list (12 most intense, 2θ from 10° to 80°, low angle first)
2θ = 22.41°, I = 94; 2θ = 23.56°, I = 39; 2θ = 31.89°, I = 57; 2θ = 32.74°, I = 100; 2θ = 40.03°, I = 19; 2θ = 45.73°, I = 33; 2θ = 51.50°, I = 21; 2θ = 52.07°, I = 19; 2θ = 53.76°, I = 18; 2θ = 57.37°, I = 42; 2θ = 58.96°, I = 20; 2θ = 68.61°, I = 18

Structure:
```
RePN2O
1.0
3.968 0.000 0.000
0.000 3.968 0.000
0.000 0.000 3.777
Re P N O
1 1 2 1
Direct
0.000 0.000 0.000
0.500 0.500 0.500
0.000 0.500 0.000
0.500 0.000 0.000
0.000 0.000 0.500
```

---

(10)
Simulated powder diffractogram
Compound: Ce2Ga3Ag5
Radiation: λ = 1.5418 Å (Cu Kα)
Structure: DFT lattice parameters and positions (PBE)
No peak broadening, texture or thermal motion is included.

Peak list (12 most intense, 2θ from 10° to 80°, low angle first)
2θ = 31.13°, I = 74; 2θ = 33.21°, I = 100; 2θ = 33.61°, I = 94; 2θ = 42.30°, I = 92; 2θ = 42.99°, I = 19; 2θ = 43.31°, I = 17; 2θ = 44.29°, I = 54; 2θ = 53.17°, I = 27; 2θ = 62.66°, I = 18; 2θ = 71.35°, I = 20; 2θ = 72.06°, I = 17; 2θ = 79.71°, I = 17

Structure:
```
Ce2Ga3Ag5
1.0
-5.823 5.998 3.044
5.823 -5.998 3.044
5.823 5.998 -3.044
Ce Ga Ag
4 6 10
Direct
0.130 0.236 0.366
0.370 0.736 0.106
0.630 0.264 0.894
0.870 0.764 0.634
0.130 0.869 0.999
0.250 0.750 0.500
0.370 0.369 0.739
0.630 0.631 0.261
0.750 0.250 0.500
0.870 0.131 0.001
0.008 0.750 0.258
0.109 0.650 0.759
0.250 0.250 0.000
0.391 0.150 0.541
0.492 0.750 0.742
0.508 0.250 0.258
0.609 0.850 0.459
0.750 0.750 0.000
0.891 0.350 0.241
0.992 0.250 0.742
```

---

(11)
Simulated powder diffractogram
Compound: Li3B8C8
Radiation: λ = 1.5418 Å (Cu Kα)
Structure: DFT lattice parameters and positions (PBE)
No peak broadening, texture or thermal motion is included.

Peak list (12 most intense, 2θ from 10° to 80°, low angle first)
2θ = 23.86°, I = 100; 2θ = 38.46°, I = 6; 2θ = 39.18°, I = 5; 2θ = 45.43°, I = 8; 2θ = 45.73°, I = 6; 2θ = 46.10°, I = 8; 2θ = 47.05°, I = 5; 2θ = 48.83°, I = 11; 2θ = 69.08°, I = 3; 2θ = 70.53°, I = 6; 2θ = 74.23°, I = 3; 2θ = 74.90°, I = 3

Structure:
```
Li3B8C8
1.0
4.600 0.000 0.000
0.000 5.439 0.000
-0.226 0.000 7.460
Li B C
3 8 8
Direct
0.000 0.000 0.000
0.000 0.033 0.500
0.500 0.736 0.500
0.160 0.755 0.265
0.163 0.260 0.261
0.338 0.506 0.765
0.343 0.007 0.761
0.657 0.007 0.239
0.662 0.506 0.235
0.837 0.260 0.739
0.840 0.755 0.735
0.181 0.255 0.764
0.183 0.758 0.759
0.316 0.007 0.269
0.322 0.507 0.263
0.678 0.507 0.737
0.684 0.007 0.731
0.817 0.758 0.241
0.819 0.255 0.236
```

---

(12)
Simulated powder diffractogram
Compound: AcAlZn8Au2
Radiation: λ = 1.5418 Å (Cu Kα)
Structure: DFT lattice parameters and positions (PBE)
No peak broadening, texture or thermal motion is included.

Peak list (12 most intense, 2θ from 10° to 80°, low angle first)
2θ = 21.25°, I = 57; 2θ = 26.03°, I = 38; 2θ = 28.86°, I = 31; 2θ = 32.74°, I = 27; 2θ = 33.60°, I = 30; 2θ = 34.24°, I = 42; 2θ = 34.82°, I = 27; 2θ = 36.08°, I = 100; 2θ = 40.43°, I = 58; 2θ = 41.46°, I = 38; 2θ = 42.22°, I = 54; 2θ = 61.71°, I = 26

Structure:
```
AcAlZn8Au2
1.0
4.237 -2.667 0.000
4.237 2.667 0.000
-0.853 0.000 9.970
Ac Al Zn Au
1 1 8 2
Direct
0.000 0.000 0.000
0.000 0.000 0.500
0.140 0.635 0.690
0.334 0.334 0.898
0.347 0.347 0.453
0.365 0.860 0.310
0.635 0.140 0.690
0.653 0.653 0.547
0.666 0.666 0.102
0.860 0.365 0.310
0.345 0.345 0.174
0.655 0.655 0.826
```

---

(13)
Simulated powder diffractogram
Compound: K3Ta2O7
Radiation: λ = 1.5418 Å (Cu Kα)
Structure: DFT lattice parameters and positions (PBE)
No peak broadening, texture or thermal motion is included.

Peak list (12 most intense, 2θ from 10° to 80°, low angle first)
2θ = 15.22°, I = 71; 2θ = 22.14°, I = 40; 2θ = 22.36°, I = 64; 2θ = 22.91°, I = 27; 2θ = 26.97°, I = 43; 2θ = 29.28°, I = 86; 2θ = 31.67°, I = 100; 2θ = 32.07°, I = 63; 2θ = 44.94°, I = 36; 2θ = 53.98°, I = 38; 2θ = 54.74°, I = 30; 2θ = 56.25°, I = 28

Structure:
```
K3Ta2O7
1.0
2.018 -11.644 0.000
2.018 11.644 0.000
0.000 0.000 4.015
K Ta O
3 2 7
Direct
0.000 0.000 0.000
0.182 0.818 0.000
0.818 0.182 0.000
0.409 0.591 0.500
0.591 0.409 0.500
0.087 0.913 0.500
0.328 0.672 0.500
0.413 0.587 0.000
0.500 0.500 0.500
0.587 0.413 0.000
0.672 0.328 0.500
0.913 0.087 0.500
```